Record 1
KAlSi3O8: computed powder XRD pattern (Cu Kα, 1.54184 Å), based on a DFT-relaxed cell (GGA-PBE, Alexandria).
Lines closer than 0.1° are merged.

Peak list (12 most intense, 15° ≤ 2θ ≤ 90°, in order of rising 2θ)
- 2θ = 20.67°, rel. 54.0, (2 0 -1)
- 2θ = 22.99°, rel. 88.0, (1 3 0)
- 2θ = 25.55°, rel. 40.5, (1 1 -2)
- 2θ = 26.26°, rel. 100.0, (2 2 0)
- 2θ = 26.79°, rel. 23.5, (0 4 0)
- 2θ = 26.92°, rel. 55.6, (2 0 -2)
- 2θ = 27.37°, rel. 74.5, (0 0 2)
- 2θ = 29.24°, rel. 52.1, (1 3 1)
- 2θ = 30.15°, rel. 30.7, (0 4 1)
- 2θ = 34.07°, rel. 32.9, (2 4 -1)
- 2θ = 40.66°, rel. 25.1, (0 6 0)
- 2θ = 50.53°, rel. 26.0, (2 0 -4)

Cell and atoms:
```
data_KAlSi3O8
_chemical_formula_sum 'K4 Al4 Si12 O32'
_cell_length_a 8.752
_cell_length_b 13.312
_cell_length_c 7.228
_cell_angle_alpha 90.00
_cell_angle_beta 115.64
_cell_angle_gamma 90.00
_symmetry_space_group_name_H-M 'C 1 2 1'
_symmetry_Int_Tables_number 5
loop_
_symmetry_equiv_pos_as_xyz
'x,y,z'
'-x,y,-z'
'x+1/2,y+1/2,z'
'-x+1/2,y+1/2,-z'
loop_
_atom_site_label
_atom_site_type_symbol
_atom_site_fract_x
_atom_site_fract_y
_atom_site_fract_z
K1 K 0.209 0.000 0.368
Al1 Al 0.212 0.896 0.846
Si1 Si 0.009 0.701 0.721
Si2 Si 0.018 0.329 0.728
Si3 Si 0.217 0.133 0.846
O1 O 0.000 0.360 0.500
O2 O 0.000 0.660 0.500
O3 O 0.027 0.821 0.746
O4 O 0.051 0.207 0.765
O5 O 0.142 0.021 0.784
O6 O 0.158 0.361 0.269
O7 O 0.165 0.660 0.273
O8 O 0.172 0.643 0.903
O9 O 0.183 0.389 0.887
```

***

Record 2
LiLa6Ga5: computed powder XRD pattern (Cu Kα, 1.54184 Å), based on a DFT-relaxed cell (GGA-PBE, Alexandria).
Lines closer than 0.1° are merged.

Peak list (12 most intense, 15° ≤ 2θ ≤ 90°, in order of rising 2θ)
- 2θ = 23.47°, rel. 14.2, (1 3 0)
- 2θ = 23.60°, rel. 6.9, (0 0 2)
- 2θ = 33.37°, rel. 19.7, (0 6 0)
- 2θ = 33.52°, rel. 100.0, (2 0 0)
- 2θ = 48.01°, rel. 14.1, (2 6 0)
- 2θ = 48.29°, rel. 7.1, (0 0 4)
- 2θ = 59.75°, rel. 13.9, (1 9 2)
- 2θ = 59.93°, rel. 21.8, (3 3 2)
- 2θ = 60.05°, rel. 7.3, (2 0 4)
- 2θ = 70.45°, rel. 10.9, (4 0 0)
- 2θ = 80.13°, rel. 8.9, (4 6 0)
- 2θ = 80.54°, rel. 6.1, (1 3 6)

Cell and atoms:
```
data_LiLa6Ga5
_chemical_formula_sum 'Li2 La12 Ga10'
_cell_length_a 5.351
_cell_length_b 16.110
_cell_length_c 7.539
_cell_angle_alpha 90.00
_cell_angle_beta 90.00
_cell_angle_gamma 90.00
_symmetry_space_group_name_H-M 'C m m m'
_symmetry_Int_Tables_number 65
_symmetry_space_group_name_Hall '-C 2 2'
loop_
_atom_site_label
_atom_site_type_symbol
_atom_site_fract_x
_atom_site_fract_y
_atom_site_fract_z
Li1 Li 0.000 0.000 0.000
La1 La 0.000 0.171 0.251
La2 La 0.000 0.500 0.260
Ga1 Ga 0.000 0.000 0.500
Ga2 Ga 0.000 0.334 0.500
Ga3 Ga 0.000 0.345 0.000
```

***

Record 3
Na2Tl3PbBr6: computed powder XRD pattern (Cu Kα, 1.54184 Å), based on a DFT-relaxed cell (GGA-PBE, Alexandria).
Lines closer than 0.1° are merged.

Peak list (12 most intense, 15° ≤ 2θ ≤ 90°, in order of rising 2θ)
- 2θ = 24.22°, rel. 12.0, (2 0 -1)
- 2θ = 27.89°, rel. 100.0, (1 3 1)
- 2θ = 29.80°, rel. 9.6, (1 3 -2)
- 2θ = 37.36°, rel. 27.6, (1 3 -3)
- 2θ = 37.67°, rel. 13.7, (2 0 2)
- 2θ = 41.99°, rel. 11.5, (0 6 0)
- 2θ = 42.19°, rel. 22.8, (3 3 -1)
- 2θ = 43.15°, rel. 7.8, (0 0 4)
- 2θ = 51.14°, rel. 13.0, (2 6 -2)
- 2θ = 57.67°, rel. 7.7, (2 6 2)
- 2θ = 61.74°, rel. 10.2, (0 6 4)
- 2θ = 73.71°, rel. 7.4, (4 6 -4)

Cell and atoms:
```
data_Na2Tl3PbBr6
_chemical_formula_sum 'Na4 Tl6 Pb2 Br12'
_cell_length_a 7.408
_cell_length_b 12.909
_cell_length_c 8.762
_cell_angle_alpha 90.00
_cell_angle_beta 106.84
_cell_angle_gamma 90.00
_symmetry_space_group_name_H-M 'C 1 2/m 1'
_symmetry_Int_Tables_number 12
loop_
_symmetry_equiv_pos_as_xyz
'x,y,z'
'-x,-y,-z'
'-x,y,-z'
'x,-y,z'
'x+1/2,y+1/2,z'
'-x+1/2,-y+1/2,-z'
'-x+1/2,y+1/2,-z'
'x+1/2,-y+1/2,z'
loop_
_atom_site_label
_atom_site_type_symbol
_atom_site_fract_x
_atom_site_fract_y
_atom_site_fract_z
Na1 Na 0.000 0.167 0.000
Tl1 Tl 0.000 0.000 0.500
Tl2 Tl 0.000 0.336 0.500
Pb1 Pb 0.000 0.500 0.000
Br1 Br 0.232 0.000 0.208
Br2 Br 0.240 0.331 0.211
```

***

Repeat the second record exactly.
LiLa6Ga5: computed powder XRD pattern (Cu Kα, 1.54184 Å), based on a DFT-relaxed cell (GGA-PBE, Alexandria).
Lines closer than 0.1° are merged.

Peak list (12 most intense, 15° ≤ 2θ ≤ 90°, in order of rising 2θ)
- 2θ = 23.47°, rel. 14.2, (1 3 0)
- 2θ = 23.60°, rel. 6.9, (0 0 2)
- 2θ = 33.37°, rel. 19.7, (0 6 0)
- 2θ = 33.52°, rel. 100.0, (2 0 0)
- 2θ = 48.01°, rel. 14.1, (2 6 0)
- 2θ = 48.29°, rel. 7.1, (0 0 4)
- 2θ = 59.75°, rel. 13.9, (1 9 2)
- 2θ = 59.93°, rel. 21.8, (3 3 2)
- 2θ = 60.05°, rel. 7.3, (2 0 4)
- 2θ = 70.45°, rel. 10.9, (4 0 0)
- 2θ = 80.13°, rel. 8.9, (4 6 0)
- 2θ = 80.54°, rel. 6.1, (1 3 6)

Cell and atoms:
```
data_LiLa6Ga5
_chemical_formula_sum 'Li2 La12 Ga10'
_cell_length_a 5.351
_cell_length_b 16.110
_cell_length_c 7.539
_cell_angle_alpha 90.00
_cell_angle_beta 90.00
_cell_angle_gamma 90.00
_symmetry_space_group_name_H-M 'C m m m'
_symmetry_Int_Tables_number 65
_symmetry_space_group_name_Hall '-C 2 2'
loop_
_atom_site_label
_atom_site_type_symbol
_atom_site_fract_x
_atom_site_fract_y
_atom_site_fract_z
Li1 Li 0.000 0.000 0.000
La1 La 0.000 0.171 0.251
La2 La 0.000 0.500 0.260
Ga1 Ga 0.000 0.000 0.500
Ga2 Ga 0.000 0.334 0.500
Ga3 Ga 0.000 0.345 0.000
```